# SmSN
Computed powder X-ray diffraction pattern, Cu Ka. Input: the PBE geometry in Alexandria.
Kinematic intensities with the Lorentz-polarization factor, no thermal factor.

```
data_SmSN
_chemical_formula_sum 'Sm2 S2 N2'
_cell_length_a 3.7807
_cell_length_b 3.9728
_cell_length_c 8.7074
_cell_angle_alpha 84.25
_cell_angle_beta 84.97
_cell_angle_gamma 62.15
_space_group_name_H-M_alt 'P -1'
_space_group_IT_number 2
loop_
_space_group_symop_operation_xyz
'x,y,z'
'-x,-y,-z'
loop_
_atom_site_label
_atom_site_fract_x
_atom_site_fract_y
_atom_site_fract_z
Sm1 0.1952 0.2147 0.1765
S1 0.4992 0.4817 0.6213
N1 0.4838 0.4064 0.9345
```

The 8 most intense peaks (10° ≤ 2θ ≤ 90°), low angle first:
2θ/deg, intensity, h k l
10.22, 95, 0 0 1
20.53, 42, 0 0 2
27.90, 71, 1 1 1
28.13, 100, 0 1 -1
29.11, 73, 1 0 -1
31.76, 48, 0 1 2
33.12, 48, 1 0 2
36.01, 37, 1 1 -2

***

# CdSb12Pd4
Computed powder X-ray diffraction pattern, Cu Ka. Input: the PBE geometry in Alexandria.
Kinematic intensities with the Lorentz-polarization factor, no thermal factor.

```
data_CdSb12Pd4
_chemical_formula_sum 'Cd2 Sb24 Pd8'
_cell_length_a 9.5854
_cell_length_b 9.5854
_cell_length_c 9.5854
_cell_angle_alpha 90.00
_cell_angle_beta 90.00
_cell_angle_gamma 90.00
_space_group_name_H-M_alt 'I m -3'
_space_group_IT_number 204
_space_group_name_Hall '-I 2 2 3'
loop_
_atom_site_label
_atom_site_fract_x
_atom_site_fract_y
_atom_site_fract_z
Cd1 0.0000 0.0000 0.0000
Sb1 0.0000 0.3445 0.1543
Pd1 0.2500 0.2500 0.2500
```

The 8 most intense peaks (10° ≤ 2θ ≤ 90°), low angle first:
2θ/deg, intensity, h k l
29.47, 100, 3 0 1
35.03, 40, 3 1 2
42.16, 28, 4 2 0
46.41, 31, 4 2 2
48.42, 33, 4 3 1
66.11, 16, 6 1 3
86.07, 13, 6 6 0
87.55, 12, 7 4 3

***

# PdAuI4
Computed powder X-ray diffraction pattern, Cu Ka. Input: the PBE geometry in Alexandria.
Kinematic intensities with the Lorentz-polarization factor, no thermal factor.

```
data_PdAuI4
_chemical_formula_sum 'Pd2 Au2 I8'
_cell_length_a 7.2247
_cell_length_b 4.8074
_cell_length_c 13.8582
_cell_angle_alpha 90.00
_cell_angle_beta 112.53
_cell_angle_gamma 90.00
_space_group_name_H-M_alt 'P 1 21/c 1'
_space_group_IT_number 14
loop_
_space_group_symop_operation_xyz
'x,y,z'
'-x,-y,-z'
'-x,y+1/2,-z+1/2'
'x,-y+1/2,z+1/2'
loop_
_atom_site_label
_atom_site_fract_x
_atom_site_fract_y
_atom_site_fract_z
Pd1 0.0000 0.0000 0.0000
Au1 0.5000 0.0000 0.5000
I1 0.2052 0.1296 0.8837
I2 0.2843 0.6651 0.1215
```

The 8 most intense peaks (10° ≤ 2θ ≤ 90°), low angle first:
2θ/deg, intensity, h k l
13.84, 76, 0 0 2
23.14, 64, 0 1 2
25.32, 100, 1 1 1
30.40, 50, 2 0 -4
31.18, 25, 2 1 -2
34.45, 34, 1 1 3
42.35, 31, 3 1 -3
46.58, 29, 2 2 0

***

# NaNd2PbSe4
Computed powder X-ray diffraction pattern, Cu Ka. Input: the PBE geometry in Alexandria.
Kinematic intensities with the Lorentz-polarization factor, no thermal factor.

```
data_NaNd2PbSe4
_chemical_formula_sum 'Na4 Nd8 Pb4 Se16'
_cell_length_a 8.5833
_cell_length_b 8.6527
_cell_length_c 12.1276
_cell_angle_alpha 90.00
_cell_angle_beta 90.00
_cell_angle_gamma 90.00
_space_group_name_H-M_alt 'I m m a'
_space_group_IT_number 74
_space_group_name_Hall '-I 2b 2'
loop_
_atom_site_label
_atom_site_fract_x
_atom_site_fract_y
_atom_site_fract_z
Na1 0.2500 0.2500 0.2500
Nd1 0.0000 0.0000 0.0000
Nd2 0.2500 0.2500 0.7500
Pb1 0.0000 0.0000 0.5000
Se1 0.0000 0.0065 0.7541
Se2 0.2431 0.2500 0.9993
```

The 8 most intense peaks (10° ≤ 2θ ≤ 90°), low angle first:
2θ/deg, intensity, h k l
12.57, 19, 0 1 1
29.31, 100, 2 2 0
29.46, 49, 0 0 4
41.76, 19, 0 4 0
42.06, 93, 4 0 0
51.93, 20, 0 4 4
52.23, 20, 4 0 4
69.20, 25, 2 2 8

***

Repeat the first record exactly.
# SmSN
Computed powder X-ray diffraction pattern, Cu Ka. Input: the PBE geometry in Alexandria.
Kinematic intensities with the Lorentz-polarization factor, no thermal factor.

```
data_SmSN
_chemical_formula_sum 'Sm2 S2 N2'
_cell_length_a 3.7807
_cell_length_b 3.9728
_cell_length_c 8.7074
_cell_angle_alpha 84.25
_cell_angle_beta 84.97
_cell_angle_gamma 62.15
_space_group_name_H-M_alt 'P -1'
_space_group_IT_number 2
loop_
_space_group_symop_operation_xyz
'x,y,z'
'-x,-y,-z'
loop_
_atom_site_label
_atom_site_fract_x
_atom_site_fract_y
_atom_site_fract_z
Sm1 0.1952 0.2147 0.1765
S1 0.4992 0.4817 0.6213
N1 0.4838 0.4064 0.9345
```

The 8 most intense peaks (10° ≤ 2θ ≤ 90°), low angle first:
2θ/deg, intensity, h k l
10.22, 95, 0 0 1
20.53, 42, 0 0 2
27.90, 71, 1 1 1
28.13, 100, 0 1 -1
29.11, 73, 1 0 -1
31.76, 48, 0 1 2
33.12, 48, 1 0 2
36.01, 37, 1 1 -2

***

What did the third record say?
# PdAuI4
Computed powder X-ray diffraction pattern, Cu Ka. Input: the PBE geometry in Alexandria.
Kinematic intensities with the Lorentz-polarization factor, no thermal factor.

```
data_PdAuI4
_chemical_formula_sum 'Pd2 Au2 I8'
_cell_length_a 7.2247
_cell_length_b 4.8074
_cell_length_c 13.8582
_cell_angle_alpha 90.00
_cell_angle_beta 112.53
_cell_angle_gamma 90.00
_space_group_name_H-M_alt 'P 1 21/c 1'
_space_group_IT_number 14
loop_
_space_group_symop_operation_xyz
'x,y,z'
'-x,-y,-z'
'-x,y+1/2,-z+1/2'
'x,-y+1/2,z+1/2'
loop_
_atom_site_label
_atom_site_fract_x
_atom_site_fract_y
_atom_site_fract_z
Pd1 0.0000 0.0000 0.0000
Au1 0.5000 0.0000 0.5000
I1 0.2052 0.1296 0.8837
I2 0.2843 0.6651 0.1215
```

The 8 most intense peaks (10° ≤ 2θ ≤ 90°), low angle first:
2θ/deg, intensity, h k l
13.84, 76, 0 0 2
23.14, 64, 0 1 2
25.32, 100, 1 1 1
30.40, 50, 2 0 -4
31.18, 25, 2 1 -2
34.45, 34, 1 1 3
42.35, 31, 3 1 -3
46.58, 29, 2 2 0

***

- What is the formula in the fourth record?
  NaNd2PbSe4